Calculated powder diffractogram of K2HfAg2Te4 for copper Kα, from a structure optimized by DFT (PBE).
Intensities are scaled so that the largest is 100.

```
K2HfAg2Te4
1.0
3.2506 -7.3685 0.0000
3.2506 7.3685 0.0000
0.0000 0.0000 6.4886
K Hf Ag Te
2 1 2 4
direct
0.0000 0.5000 0.2488 K
0.5000 0.0000 0.7512 K
0.0000 0.0000 0.5000 Hf
0.0000 0.0000 0.0000 Ag
0.5000 0.5000 0.5000 Ag
0.1269 0.3524 0.7396 Te
0.3524 0.1269 0.2604 Te
0.6476 0.8731 0.2604 Te
0.8731 0.6476 0.7396 Te
```

Most intense lines, 2θ = 10–90°, in order of rising 2θ:
2θ 12.01, I = 90; 2θ 13.65, I = 19; 2θ 14.89, I = 30; 2θ 20.25, I = 44; 2θ 26.57, I = 98; 2θ 30.07, I = 47; 2θ 36.90, I = 100; 2θ 39.23, I = 65; 2θ 46.35, I = 41; 2θ 48.01, I = 36; 2θ 64.89, I = 23; 2θ 69.58, I = 30